Sr2La2TlNi2O9: simulated PXRD pattern (λ = 1.5418 Å (Cu Kα)), based on a crystal structure in Alexandria, relaxed with PBE+U.
Lines closer than 0.1° are merged.

Top 10 peaks for 2θ from 5° to 70°, in order of rising 2θ:
2θ (°)	intensity
24.75	31
31.19	100
32.71	34
33.02	34
42.10	13
45.02	12
47.17	32
57.41	27
57.83	18
65.05	12

Atomic structure:
Lattice parameters (Å, degrees): 15.271 3.854 15.266 82.81 14.50 82.68
Element x y z (fractional)
Sr1 0.083 0.917 0.083
Sr2 0.917 0.083 0.917
La1 0.204 0.799 0.201
La2 0.799 0.204 0.796
Tl1 0.467 0.467 0.533
Ni1 0.356 0.647 0.353
Ni2 0.647 0.356 0.644
O1 0.042 0.042 0.958
O2 0.149 0.354 0.145
O3 0.283 0.721 0.279
O4 0.354 0.149 0.352
O5 0.443 0.583 0.417
O6 0.583 0.443 0.557
O7 0.648 0.855 0.646
O8 0.721 0.283 0.717
O9 0.855 0.648 0.851